Record 1
Simulated powder XRD pattern of MnGeO3 for a wavelength of 1.5418 Å, from a crystal structure in the Materials Project, relaxed with PBE+U.
Neutral-atom scattering factors, no anomalous dispersion.

Crystal structure
abc: 6.8938 6.8938 5.3484
angles: 98.67 98.67 86.20
Fractional coordinates of all 20 atoms:
Mn (0.0970, 0.9030, 0.7500)
Mn (0.2754, 0.7246, 0.2500)
Mn (0.7246, 0.2754, 0.7500)
Mn (0.9030, 0.0970, 0.2500)
Ge (0.2059, 0.3892, 0.7185)
Ge (0.3892, 0.2059, 0.2185)
Ge (0.6108, 0.7941, 0.7815)
Ge (0.7941, 0.6108, 0.2815)
O (0.0269, 0.2102, 0.6424)
O (0.1426, 0.6178, 0.8765)
O (0.2102, 0.0269, 0.1424)
O (0.2934, 0.4184, 0.4205)
O (0.3822, 0.8574, 0.6235)
O (0.4184, 0.2934, 0.9205)
O (0.5816, 0.7066, 0.0795)
O (0.6178, 0.1426, 0.3765)
O (0.7066, 0.5816, 0.5795)
O (0.7898, 0.9731, 0.8576)
O (0.8574, 0.3822, 0.1235)
O (0.9731, 0.7898, 0.3576)

Principal peaks in the range 2θ = 15–90°, sorted by position:
2θ 25.44, rel. 34; 2θ 26.18, rel. 41; 2θ 28.79, rel. 85; 2θ 29.18, rel. 100; 2θ 33.39, rel. 93; 2θ 33.56, rel. 84; 2θ 34.27, rel. 69; 2θ 54.73, rel. 35; 2θ 59.66, rel. 37; 2θ 61.17, rel. 45


Record 2
Simulated powder XRD pattern of MnGe2O6 for a wavelength of 1.5418 Å, from a crystal structure in the Materials Project, relaxed with PBE+U.
Neutral-atom scattering factors, no anomalous dispersion.

Crystal structure
abc: 9.9873 8.8695 5.4177
angles: 90.00 104.70 90.00
Fractional coordinates of all 36 atoms:
Mn (0.2405, 0.1596, 0.4743)
Mn (0.2405, 0.3404, 0.9743)
Mn (0.7595, 0.6596, 0.0257)
Mn (0.7595, 0.8404, 0.5257)
Ge (0.0533, 0.6598, 0.8465)
Ge (0.0533, 0.8402, 0.3465)
Ge (0.4731, 0.6548, 0.1200)
Ge (0.4731, 0.8452, 0.6200)
Ge (0.5269, 0.1548, 0.3800)
Ge (0.5269, 0.3452, 0.8800)
Ge (0.9467, 0.1598, 0.6535)
Ge (0.9467, 0.3402, 0.1535)
O (0.1128, 0.6996, 0.1727)
O (0.1128, 0.8004, 0.6727)
O (0.1192, 0.0162, 0.2890)
O (0.1192, 0.4838, 0.7890)
O (0.1357, 0.1723, 0.7436)
O (0.1357, 0.3277, 0.2436)
O (0.3418, 0.1845, 0.2142)
O (0.3418, 0.3155, 0.7142)
O (0.4002, 0.7235, 0.3667)
O (0.4002, 0.7765, 0.8667)
O (0.4064, 0.0375, 0.6046)
O (0.4064, 0.4625, 0.1046)
O (0.5936, 0.5375, 0.8954)
O (0.5936, 0.9625, 0.3954)
O (0.5998, 0.2235, 0.1333)
O (0.5998, 0.2765, 0.6333)
O (0.6582, 0.6845, 0.2858)
O (0.6582, 0.8155, 0.7858)
O (0.8643, 0.6723, 0.7564)
O (0.8643, 0.8277, 0.2564)
O (0.8808, 0.5162, 0.2110)
O (0.8808, 0.9838, 0.7110)
O (0.8872, 0.1996, 0.3273)
O (0.8872, 0.3004, 0.8273)

Principal peaks in the range 2θ = 15–90°, sorted by position:
2θ 18.37, rel. 36; 2θ 19.68, rel. 100; 2θ 20.02, rel. 50; 2θ 26.43, rel. 26; 2θ 29.35, rel. 66; 2θ 29.51, rel. 73; 2θ 34.57, rel. 26; 2θ 34.84, rel. 41; 2θ 35.18, rel. 54; 2θ 39.77, rel. 28


Record 3
Simulated powder XRD pattern of MnGe2O6 for a wavelength of 1.5418 Å, from a crystal structure in the Materials Project, relaxed with PBE+U.
Neutral-atom scattering factors, no anomalous dispersion.

Crystal structure
abc: 6.6204 6.6204 5.5340
angles: 105.49 105.49 82.57
Fractional coordinates of all 18 atoms:
Mn (0.0881, 0.9119, 0.7500)
Mn (0.9119, 0.0881, 0.2500)
Ge (0.2047, 0.3895, 0.7381)
Ge (0.3895, 0.2047, 0.2381)
Ge (0.6105, 0.7953, 0.7619)
Ge (0.7953, 0.6105, 0.2619)
O (0.0233, 0.1813, 0.6279)
O (0.0672, 0.6369, 0.7567)
O (0.1813, 0.0233, 0.1279)
O (0.3388, 0.3940, 0.0581)
O (0.3631, 0.9328, 0.7433)
O (0.3940, 0.3388, 0.5581)
O (0.6060, 0.6612, 0.4419)
O (0.6369, 0.0672, 0.2567)
O (0.6612, 0.6060, 0.9419)
O (0.8187, 0.9767, 0.8721)
O (0.9328, 0.3631, 0.2433)
O (0.9767, 0.8187, 0.3721)

Principal peaks in the range 2θ = 15–90°, sorted by position:
2θ 19.08, rel. 23; 2θ 19.30, rel. 45; 2θ 20.33, rel. 44; 2θ 26.71, rel. 31; 2θ 29.14, rel. 100; 2θ 30.60, rel. 67; 2θ 34.68, rel. 45; 2θ 36.56, rel. 30; 2θ 46.64, rel. 24; 2θ 55.97, rel. 27


Record 4
Simulated powder XRD pattern of MnGeO3 for a wavelength of 1.5418 Å, from a crystal structure in the Materials Project, relaxed with PBE+U.
Neutral-atom scattering factors, no anomalous dispersion.

Crystal structure
abc: 5.6731 5.6731 5.6731
angles: 53.37 53.37 53.37
Fractional coordinates of all 10 atoms:
Mn (0.1369, 0.1369, 0.1369)
Mn (0.8631, 0.8631, 0.8631)
Ge (0.3429, 0.3429, 0.3429)
Ge (0.6571, 0.6571, 0.6571)
O (0.0608, 0.4571, 0.7051)
O (0.2949, 0.9392, 0.5429)
O (0.4571, 0.7051, 0.0608)
O (0.5429, 0.2949, 0.9392)
O (0.7051, 0.0608, 0.4571)
O (0.9392, 0.5429, 0.2949)

Principal peaks in the range 2θ = 15–90°, sorted by position:
2θ 18.29, rel. 15; 2θ 23.58, rel. 42; 2θ 31.88, rel. 100; 2θ 35.23, rel. 87; 2θ 39.97, rel. 20; 2θ 48.24, rel. 37; 2θ 52.06, rel. 66; 2θ 61.13, rel. 33; 2θ 63.22, rel. 33; 2θ 68.76, rel. 14


Record 5
Simulated powder XRD pattern of SrMnGe2O6 for a wavelength of 1.5418 Å, from a crystal structure in the Materials Project, relaxed with PBE+U.
Neutral-atom scattering factors, no anomalous dispersion.

Crystal structure
abc: 5.6100 7.1020 7.1038
angles: 84.30 79.01 78.98
Fractional coordinates of all 20 atoms:
Sr (0.2499, 0.1907, 0.3090)
Sr (0.7501, 0.8093, 0.6910)
Mn (0.2505, 0.5940, 0.9066)
Mn (0.7495, 0.4060, 0.0934)
Ge (0.2190, 0.1226, 0.8135)
Ge (0.2810, 0.6863, 0.3778)
Ge (0.7190, 0.3137, 0.6222)
Ge (0.7810, 0.8774, 0.1865)
O (0.0177, 0.8758, 0.3312)
O (0.1385, 0.3020, 0.9771)
O (0.1799, 0.6064, 0.6131)
O (0.3202, 0.8874, 0.8938)
O (0.3613, 0.5227, 0.1985)
O (0.4822, 0.1689, 0.6240)
O (0.5178, 0.8311, 0.3760)
O (0.6387, 0.4773, 0.8015)
O (0.6798, 0.1126, 0.1062)
O (0.8201, 0.3936, 0.3869)
O (0.8615, 0.6980, 0.0229)
O (0.9823, 0.1242, 0.6688)

Principal peaks in the range 2θ = 15–90°, sorted by position:
2θ 25.61, rel. 16; 2θ 27.93, rel. 100; 2θ 28.78, rel. 23; 2θ 32.71, rel. 22; 2θ 32.95, rel. 55; 2θ 33.05, rel. 38; 2θ 41.38, rel. 15; 2θ 52.38, rel. 15; 2θ 52.82, rel. 12; 2θ 57.32, rel. 11